This entry pairs a crystal structure of Ge3P with its simulated powder X-ray diffraction pattern. Radiation: Cu Kα (weighted mean of Kα1 and Kα2). Structure: a DFT-relaxed cell (GGA-PBE, Alexandria).

Structural model:
```
data_Ge3P
_chemical_formula_sum 'Ge3 P1'
_symmetry_space_group_name_H-M 'P m m 2'
_symmetry_Int_Tables_number 25
_cell_length_a 3.613
_cell_length_b 5.252
_cell_length_c 4.051
_cell_angle_alpha 90.00
_cell_angle_beta 90.00
_cell_angle_gamma 90.00
loop_
_symmetry_equiv_pos_as_xyz
'x,y,z'
'-x,-y,z'
'-x,y,z'
'x,-y,z'
loop_
_atom_site_label
_atom_site_fract_x
_atom_site_fract_y
_atom_site_fract_z
Ge1 0.000 0.000 0.000
Ge2 0.000 0.500 0.100
Ge3 0.500 0.000 0.514
P1 0.500 0.500 0.498
```

Principal peaks in the range 2θ from 10° to 90°, sorted by position:
2θ/deg	Rel. int.
27.81	9.1
33.22	100.0
34.14	50.0
37.49	11.5
44.74	17.0
48.38	67.8
50.52	16.0
57.45	15.8
62.39	16.7
69.75	8.8
79.99	12.0
81.54	14.4